1.
Calculated X-ray diffraction stick pattern of Li3Co2C4O12 for Cu Kα (weighted mean of Kα1 and Kα2), from a PBE+U-relaxed structure.
Kinematic intensities with the Lorentz-polarization factor, no thermal factor.

Cell and atoms:
```
data_Li3Co2C4O12
_symmetry_space_group_name_H-M 'P 1'
_symmetry_Int_Tables_number 1
_cell_length_a 5.4155
_cell_length_b 6.3472
_cell_length_c 16.1622
_cell_angle_alpha 88.14
_cell_angle_beta 88.37
_cell_angle_gamma 65.19
loop_
_symmetry_equiv_pos_as_xyz
'x,y,z'
loop_
_atom_site_label
_atom_site_type_symbol
_atom_site_fract_x
_atom_site_fract_y
_atom_site_fract_z
_atom_site_occupancy
Li1 Li 0.0000 0.0000 0.0000 1
Li2 Li 0.0060 0.4763 0.0841 1
Li3 Li 0.4577 0.5748 0.2662 1
Li4 Li 0.4959 0.0065 0.4922 1
Li5 Li 0.5093 0.4777 0.5839 1
Li6 Li 0.9659 0.5703 0.7631 1
Co1 Co 0.4170 0.0208 0.1748 1
Co2 Co 0.4675 0.5249 0.9205 1
Co3 Co 0.9566 0.0118 0.6823 1
Co4 Co 0.9663 0.5338 0.4208 1
C1 C 0.0588 0.4029 0.2731 1
C2 C 0.1135 0.9163 0.8189 1
C3 C 0.4422 0.6433 0.0730 1
C4 C 0.4930 0.1308 0.0274 1
C5 C 0.5732 0.4044 0.7719 1
C6 C 0.6073 0.9167 0.3147 1
C7 C 0.9451 0.6544 0.5728 1
C8 C 0.9690 0.1445 0.5242 1
O1 O 0.0770 0.1932 0.4588 1
O2 O 0.1280 0.3283 0.1966 1
O3 O 0.1315 0.0721 0.5887 1
O4 O 0.1569 0.5965 0.5245 1
O5 O 0.1956 0.8663 0.8929 1
O6 O 0.2260 0.6396 0.0423 1
O7 O 0.2290 0.4431 0.3177 1
O8 O 0.2471 0.9655 0.7590 1
O9 O 0.2517 0.1409 0.0466 1
O10 O 0.3347 0.4463 0.8003 1
O11 O 0.3788 0.9088 0.2959 1
O12 O 0.4424 0.7085 0.1490 1
O13 O 0.5621 0.1891 0.9573 1
O14 O 0.6535 0.3294 0.6967 1
O15 O 0.6573 0.5822 0.0263 1
O16 O 0.6718 0.0556 0.0866 1
O17 O 0.7048 0.8695 0.3877 1
O18 O 0.7250 0.1632 0.5322 1
O19 O 0.7269 0.6511 0.5430 1
O20 O 0.7271 0.9734 0.2529 1
O21 O 0.7377 0.4429 0.8203 1
O22 O 0.8254 0.4413 0.3039 1
O23 O 0.8824 0.9196 0.7944 1
O24 O 0.9520 0.7126 0.6493 1
```

Main lines, sorted by position (2θ = 10–80°):
18.78 deg, rel. 100, hkl 1 1 1; 18.96 deg, rel. 35, hkl 1 0 -1; 19.16 deg, rel. 71, hkl 1 1 -1; 28.93 deg, rel. 17, hkl 1 -1 1; 31.05 deg, rel. 15, hkl 0 2 0; 33.27 deg, rel. 13, hkl 0 2 -2

2.
Calculated X-ray diffraction stick pattern of Li3Co2C4O12 for Cu Kα (weighted mean of Kα1 and Kα2), from a PBE+U-relaxed structure.
Kinematic intensities with the Lorentz-polarization factor, no thermal factor.

Cell and atoms:
```
data_Li3Co2C4O12
_symmetry_space_group_name_H-M 'P 1'
_symmetry_Int_Tables_number 1
_cell_length_a 5.2086
_cell_length_b 6.3564
_cell_length_c 7.8364
_cell_angle_alpha 89.88
_cell_angle_beta 89.56
_cell_angle_gamma 66.03
loop_
_symmetry_equiv_pos_as_xyz
'x,y,z'
loop_
_atom_site_label
_atom_site_type_symbol
_atom_site_fract_x
_atom_site_fract_y
_atom_site_fract_z
_atom_site_occupancy
Li1 Li 0.0000 0.0000 0.0000 1
Li2 Li 0.1010 0.1415 0.4888 1
Li3 Li 0.5825 0.6810 0.8749 1
Co1 Co 0.2843 0.3471 0.9264 1
Co2 Co 0.7857 0.8309 0.4333 1
C1 C 0.0436 0.4611 0.1868 1
C2 C 0.0531 0.7366 0.7020 1
C3 C 0.5145 0.9701 0.1681 1
C4 C 0.5548 0.2249 0.6724 1
O1 O 0.1577 0.7861 0.5671 1
O2 O 0.1866 0.6956 0.8483 1
O3 O 0.2934 0.2460 0.6875 1
O4 O 0.3010 0.4380 0.1565 1
O5 O 0.3860 0.9998 0.0209 1
O6 O 0.3922 0.9591 0.3094 1
O7 O 0.6529 0.2642 0.8188 1
O8 O 0.6942 0.1758 0.5359 1
O9 O 0.7758 0.9403 0.1751 1
O10 O 0.8060 0.7317 0.6919 1
O11 O 0.9232 0.4314 0.0458 1
O12 O 0.9312 0.4958 0.3328 1
```

Main lines, sorted by position (2θ = 10–80°):
18.70 deg, rel. 100, hkl 1 1 0; 19.02 deg, rel. 83, hkl 0 1 1; 21.79 deg, rel. 46, hkl 1 0 1; 21.93 deg, rel. 43, hkl 1 0 -1; 30.80 deg, rel. 21, hkl 0 2 0; 32.89 deg, rel. 44, hkl 0 2 -1

3.
Calculated X-ray diffraction stick pattern of LiCoCO4 for Cu Kα (weighted mean of Kα1 and Kα2), from a PBE+U-relaxed structure.
Kinematic intensities with the Lorentz-polarization factor, no thermal factor.

Cell and atoms:
```
data_LiCoCO4
_symmetry_space_group_name_H-M 'P 1 21/c 1'
_symmetry_Int_Tables_number 14
_cell_length_a 6.5864
_cell_length_b 5.2656
_cell_length_c 10.6118
_cell_angle_alpha 90.00
_cell_angle_beta 98.25
_cell_angle_gamma 90.00
loop_
_symmetry_equiv_pos_as_xyz
'x,y,z'
'-x,-y,-z'
'-x,y+1/2,-z+1/2'
'x,-y+1/2,z+1/2'
loop_
_atom_site_label
_atom_site_type_symbol
_atom_site_fract_x
_atom_site_fract_y
_atom_site_fract_z
_atom_site_occupancy
Li1 Li 0.1167 0.1546 0.2941 1
Co1 Co 0.4899 0.6475 0.6540 1
C1 C 0.2052 0.6821 0.4264 1
O1 O 0.0795 0.7041 0.8444 1
O2 O 0.2562 0.0583 0.9109 1
O3 O 0.2887 0.7029 0.0299 1
O4 O 0.3869 0.1307 0.2302 1
```

Main lines, sorted by position (2θ = 10–80°):
13.58 deg, rel. 100, hkl 1 0 0; 18.85 deg, rel. 31, hkl 0 1 1; 23.97 deg, rel. 28, hkl 0 1 2; 26.36 deg, rel. 92, hkl 1 1 -2; 30.13 deg, rel. 36, hkl 2 0 -2; 35.18 deg, rel. 41, hkl 1 1 3